Li2TiFeO4: computed powder XRD pattern (Cu Kα X-rays), based on a cell relaxed with GGA+U.

Crystal structure
```
Li2TiFeO4
1.0
4.9609 -2.0036 0.0000
4.9609 2.0036 0.0000
-3.7299 0.0000 7.7839
Li Ti Fe O
4 2 2 8
Direct
0.0005 0.9995 0.5000 Li
0.7104 0.7130 0.0934 Li
0.7130 0.7104 0.5934 Li
0.9995 0.0005 0.0000 Li
0.2496 0.2694 0.3532 Ti
0.2694 0.2496 0.8532 Ti
0.4956 0.4962 0.2488 Fe
0.4962 0.4956 0.7488 Fe
0.0406 0.0437 0.7764 O
0.0437 0.0406 0.2764 O
0.2514 0.2538 0.1356 O
0.2538 0.2514 0.6356 O
0.4721 0.4767 0.9903 O
0.4767 0.4721 0.4903 O
0.7503 0.7573 0.8748 O
0.7573 0.7503 0.3748 O
```

Peak list (12 most intense, 5 to 70 degrees two-theta, by intensity)
2θ (°)  intensity
24.34  100
22.87  94
40.32  57
41.86  54
45.26  46
36.59  39
62.20  26
63.34  25
59.61  24
49.03  24
51.29  19
36.68  19